# Mg6CdFeO8
Calculated PXRD pattern, Cu Kα (λ = 1.5418 Å). Input: a crystal structure in the Materials Project, relaxed with PBE+U.
Intensities are scaled so that the largest is 100.

The 8 most intense peaks (10° ≤ 2θ ≤ 90°), low angle first:
index	two_theta	d_spacing	I/Imax
1 0 0	20.22	4.391	46
1 0 2	28.88	3.091	39
1 1 2	35.51	2.528	56
2 0 0	41.11	2.196	100
0 0 4	41.49	2.176	48
2 2 0	59.55	1.552	29
2 0 4	59.84	1.546	57
2 2 4	75.17	1.264	26

Crystal structure
Cell: 4.391 4.391 8.706 Å, 90.00 90.00 90.00°
Sites, in units of the cell vectors:
Mg  0.000  0.000  0.000
Mg  0.000  0.000  0.500
Mg  0.000  0.500  0.244
Mg  0.000  0.500  0.756
Mg  0.500  0.000  0.244
Mg  0.500  0.000  0.756
Cd  0.500  0.500  0.500
Fe  0.500  0.500  0.000
O  0.000  0.000  0.251
O  0.000  0.000  0.749
O  0.000  0.500  0.000
O  0.000  0.500  0.500
O  0.500  0.000  0.000
O  0.500  0.000  0.500
O  0.500  0.500  0.236
O  0.500  0.500  0.764